# Mg6FeSiO8
Calculated PXRD pattern, copper Kα. Input: a structure optimized by DFT (PBE+U).

Top 8 peaks for 5° ≤ 2θ ≤ 70°, by angle:
Position (°2θ)  I/Imax
10.37  7
20.58  7
29.45  6
36.20  28
41.87  100
42.40  45
60.70  28
61.10  52

Structural model:
Cell lengths 4.3155, 4.3155, 8.5281 Å; angles 90.00, 90.00, 90.00 degrees
Space group P4/mmm (No. 123)
Symmetry-distinct sites (fractional):
Mg 0.0000 0.0000 0.0000 (multiplicity 1)
Mg 0.0000 0.0000 0.5000 (multiplicity 1)
Mg 0.0000 0.5000 0.2421 (multiplicity 4)
Fe 0.5000 0.5000 0.0000 (multiplicity 1)
Si 0.5000 0.5000 0.5000 (multiplicity 1)
O 0.0000 0.0000 0.2515 (multiplicity 2)
O 0.0000 0.5000 0.0000 (multiplicity 2)
O 0.0000 0.5000 0.5000 (multiplicity 2)
O 0.5000 0.5000 0.2847 (multiplicity 2)